Starting from a cell relaxed with GGA-PBE, the powder diffractogram of U2F9 was computed for Cu Kα X-rays.
No peak broadening, texture or thermal motion is included.

Main lines, most intense first (10° ≤ 2θ ≤ 80°):
- 3.379 Å, 26.37 deg, I = 100.0
- 1.951 Å, 46.55 deg, I = 93.7
- 4.139 Å, 21.47 deg, I = 69.6
- 1.343 Å, 70.08 deg, I = 23.3
- 1.765 Å, 51.81 deg, I = 22.8
- 1.420 Å, 65.79 deg, I = 21.1

Cell and atoms:
Cell: 7.1683 7.1683 7.1683 Å, 109.47 109.47 109.47°
Atoms (fractional coordinates):
U 0.0000 0.0000 0.3793
U 0.0000 0.3793 0.0000
U 0.3793 0.0000 0.0000
U 0.6207 0.6207 0.6207
F 0.0000 0.2311 0.2311
F 0.0000 0.2466 0.6519
F 0.0000 0.6519 0.2466
F 0.0000 0.7689 0.7689
F 0.2311 0.0000 0.2311
F 0.2311 0.2311 0.0000
F 0.2466 0.0000 0.6519
F 0.2466 0.6519 0.0000
F 0.3481 0.3481 0.5947
F 0.3481 0.5947 0.3481
F 0.4053 0.7534 0.7534
F 0.5947 0.3481 0.3481
F 0.6519 0.0000 0.2466
F 0.6519 0.2466 0.0000
F 0.7534 0.4053 0.7534
F 0.7534 0.7534 0.4053
F 0.7689 0.0000 0.7689
F 0.7689 0.7689 0.0000

=====

Starting from a cell relaxed with GGA-PBE, the powder diffractogram of K2Rb2Sn2Au7 was computed for Cu Kα X-rays.
No peak broadening, texture or thermal motion is included.

Main lines, most intense first (10° ≤ 2θ ≤ 80°):
- 5.572 Å, 15.90 deg, I = 100.0
- 2.786 Å, 32.13 deg, I = 72.7
- 4.892 Å, 18.13 deg, I = 42.4
- 2.000 Å, 45.35 deg, I = 34.0
- 3.133 Å, 28.48 deg, I = 33.1
- 2.950 Å, 30.30 deg, I = 32.6

Cell and atoms:
Cell: 10.5761 10.5761 10.5761 Å, 38.39 38.39 38.39°
Atoms (fractional coordinates):
K 0.1862 0.1862 0.1862
K 0.8138 0.8138 0.8138
Rb 0.3156 0.3156 0.3156
Rb 0.6844 0.6844 0.6844
Sn 0.4502 0.4502 0.4502
Sn 0.5498 0.5498 0.5498
Au 0.0000 0.0000 0.0000
Au 0.1907 0.7868 0.7868
Au 0.2132 0.2132 0.8093
Au 0.2132 0.8093 0.2132
Au 0.7868 0.1907 0.7868
Au 0.7868 0.7868 0.1907
Au 0.8093 0.2132 0.2132

=====

Number 2 is which compound?
K2Rb2Sn2Au7